# 1
Pm6Y3Ho2: simulated powder diffraction line list (CuKα), based on DFT lattice parameters and positions (GGA-PBE).
No peak broadening, texture or thermal motion is included.

The 6 most intense peaks (15 to 90 degrees two-theta), by angle:
| 2theta | intensity | index |
| --- | --- | --- |
| 30.4 | 100 | 0 1 11 |
| 30.5 | 33 | 0 0 33 |
| 35.2 | 67 | 1 0 22 |
| 50.6 | 24 | 1 1 0 |
| 50.8 | 24 | 0 1 44 |
| 60.2 | 42 | 2 0 11 |

Atomic structure:
a b c (Å): 3.6083 3.6083 96.7018
angles (deg): 90.00 90.00 120.00
Space group R-3m (No. 166, hexagonal axes)
Inequivalent atoms, fractional coordinates:
Pm: 0.0000 0.0000 0.0910 x6
Pm: 0.0000 0.0000 0.1822 x6
Pm: 0.0000 0.0000 0.3636 x6
Y: 0.0000 0.0000 0.0000 x3
Y: 0.0000 0.0000 0.2727 x6
Ho: 0.0000 0.0000 0.4543 x6

# 2
PmY5Ho5: simulated powder diffraction line list (CuKα), based on DFT lattice parameters and positions (GGA-PBE).
No peak broadening, texture or thermal motion is included.

The 6 most intense peaks (15 to 90 degrees two-theta), by angle:
| 2theta | intensity | index |
| --- | --- | --- |
| 31.6 | 100 | 2 0 -1 |
| 32.1 | 49 | 0 2 2 |
| 32.2 | 50 | 2 2 1 |
| 32.3 | 21 | 1 2 -1 |
| 32.8 | 50 | 2 0 2 |
| 33.7 | 43 | 0 0 3 |

Atomic structure:
a b c (Å): 6.8612 6.9502 8.3301
angles (deg): 75.97 77.21 72.42
Space group P-1 (No. 2)
Inequivalent atoms, fractional coordinates:
Pm: 0.0000 0.0000 0.0000 x1
Y: 0.0000 0.5000 0.0000 x1
Y: 0.3244 0.2702 0.6523 x2
Y: 0.3566 0.7465 0.7213 x2
Ho: 0.1551 0.1321 0.3579 x2
Ho: 0.2069 0.6404 0.3141 x2
Ho: 0.5000 0.0000 0.0000 x1

# 3
Pm8Y3Ho: simulated powder diffraction line list (CuKα), based on DFT lattice parameters and positions (GGA-PBE).
No peak broadening, texture or thermal motion is included.

The 6 most intense peaks (15 to 90 degrees two-theta), by angle:
| 2theta | intensity | index |
| --- | --- | --- |
| 28.1 | 28 | 1 2 2 |
| 30.8 | 30 | 0 2 -2 |
| 32.1 | 100 | 2 2 0 |
| 32.1 | 19 | 1 3 1 |
| 49.6 | 16 | 3 3 3 |
| 55.5 | 21 | 2 4 -2 |

Atomic structure:
a b c (Å): 6.3667 8.6027 8.6159
angles (deg): 84.98 68.35 68.40
Space group P1 (No. 1)
Inequivalent atoms, fractional coordinates:
Pm: 0.0000 0.0000 0.0000 x1
Pm: 0.0004 0.0809 0.5820 x1
Pm: 0.0003 0.5824 0.0806 x1
Pm: 0.3317 0.2500 0.7490 x1
Pm: 0.3316 0.7486 0.2504 x1
Pm: 0.6667 0.3344 0.3335 x1
Pm: 0.6668 0.8336 0.8326 x1
Pm: 0.9984 0.5008 0.5010 x1
Y: 0.3338 0.1671 0.1667 x1
Y: 0.6635 0.4158 0.9153 x1
Y: 0.6636 0.9152 0.4158 x1
Ho: 0.3337 0.6670 0.6667 x1

# 4
Pm4Y3Ho: simulated powder diffraction line list (CuKα), based on DFT lattice parameters and positions (GGA-PBE).
No peak broadening, texture or thermal motion is included.

The 6 most intense peaks (15 to 90 degrees two-theta), by angle:
| 2theta | intensity | index |
| --- | --- | --- |
| 28.7 | 64 | 1 1 -1 |
| 30.5 | 100 | 2 0 2 |
| 30.7 | 100 | 6 0 -2 |
| 31.5 | 87 | 8 0 0 |
| 32.3 | 44 | 5 1 0 |
| 32.8 | 100 | 3 1 1 |

Atomic structure:
a b c (Å): 23.6609 3.4939 6.8145
angles (deg): 90.00 106.45 90.00
Space group C2/m (No. 12)
Inequivalent atoms, fractional coordinates:
Pm: 0.1237 0.0000 0.3683 x4
Pm: 0.2403 0.5000 0.2385 x4
Y: 0.0000 0.0000 0.5000 x2
Y: 0.1232 0.0000 0.8814 x4
Ho: 0.0000 0.5000 0.0000 x2

# 5
Pm4Y4Ho3: simulated powder diffraction line list (CuKα), based on DFT lattice parameters and positions (GGA-PBE).
No peak broadening, texture or thermal motion is included.

The 6 most intense peaks (15 to 90 degrees two-theta), by angle:
| 2theta | intensity | index |
| --- | --- | --- |
| 30.7 | 26 | 1 0 -4 |
| 31.5 | 58 | 1 -1 2 |
| 31.7 | 100 | 0 2 -1 |
| 44.7 | 19 | -1 2 3 |
| 56.3 | 17 | 0 0 11 |
| 61.9 | 29 | 2 2 -2 |

Atomic structure:
a b c (Å): 3.5379 5.6461 18.2615
angles (deg): 98.88 95.55 90.00
Space group P-1 (No. 2)
Inequivalent atoms, fractional coordinates:
Pm: 0.0456 0.0467 0.0914 x2
Pm: 0.1793 0.6799 0.3594 x2
Y: 0.0902 0.5913 0.1809 x2
Y: 0.2330 0.2329 0.4656 x2
Ho: 0.3635 0.8630 0.7264 x2
Ho: 0.5000 0.5000 0.0000 x1

# 6
Pm7Y2Ho4: simulated powder diffraction line list (CuKα), based on DFT lattice parameters and positions (GGA-PBE).
No peak broadening, texture or thermal motion is included.

The 6 most intense peaks (15 to 90 degrees two-theta), by angle:
| 2theta | intensity | index |
| --- | --- | --- |
| 26.3 | 22 | 1 0 3 |
| 27.1 | 22 | 0 0 4 |
| 29.7 | 56 | 1 1 1 |
| 32.0 | 100 | 2 -1 2 |
| 35.5 | 30 | 1 1 3 |
| 51.3 | 30 | 3 0 0 |

Atomic structure:
a b c (Å): 6.1733 6.1733 13.1788
angles (deg): 90.00 90.00 120.00
Space group P-31m (No. 162)
Inequivalent atoms, fractional coordinates:
Pm: 0.0000 0.0000 0.0000 x1
Pm: 0.0000 0.3714 0.2229 x6
Y: 0.3333 0.6667 0.0000 x2
Ho: 0.0000 0.0000 0.3923 x2
Ho: 0.3333 0.6667 0.5000 x2